[1]
Diffraction record for CuPbBr3. The powder X-ray diffraction pattern is computed, not measured: it uses a cell relaxed with PBE and CuKα.

Atomic structure:
Cell: 7.998 7.998 7.998 Å, 119.40 119.40 91.04°
Fractional coordinates of all 10 atoms:
Cu (0.250, 0.750, 0.500)
Cu (0.750, 0.250, 0.500)
Pb (0.000, 0.000, 0.000)
Pb (0.500, 0.500, 0.000)
Br (0.150, 0.650, 0.799)
Br (0.250, 0.250, 0.000)
Br (0.350, 0.150, 0.500)
Br (0.650, 0.850, 0.500)
Br (0.750, 0.750, 0.000)
Br (0.850, 0.350, 0.201)

Largest 6 diffraction maxima, in order of rising 2θ, 15° ≤ 2θ ≤ 90°:
| 2θ (°) | I/Imax |
| --- | --- |
| 15.53 | 59 |
| 22.03 | 100 |
| 31.35 | 62 |
| 31.94 | 58 |
| 35.16 | 63 |
| 38.77 | 81 |

=====

[2]
Diffraction record for ThPt3. The powder X-ray diffraction pattern is computed, not measured: it uses a cell relaxed with PBE and CuKα.

Atomic structure:
Cell: 5.933 5.933 5.019 Å, 90.00 90.00 120.00°
Fractional coordinates of all 8 atoms:
Th (0.333, 0.667, 0.250)
Th (0.667, 0.333, 0.750)
Pt (0.160, 0.320, 0.750)
Pt (0.160, 0.840, 0.750)
Pt (0.320, 0.160, 0.250)
Pt (0.680, 0.840, 0.750)
Pt (0.840, 0.160, 0.250)
Pt (0.840, 0.680, 0.250)

Largest 6 diffraction maxima, in order of rising 2θ, 15° ≤ 2θ ≤ 90°:
| 2θ (°) | I/Imax |
| --- | --- |
| 34.92 | 23 |
| 35.78 | 29 |
| 39.40 | 100 |
| 62.63 | 17 |
| 66.72 | 22 |
| 74.27 | 21 |

=====

[3]
Diffraction record for K2HoF5. The powder X-ray diffraction pattern is computed, not measured: it uses a cell relaxed with PBE and CuKα.

Atomic structure:
Cell: 11.018 7.284 6.688 Å, 90.00 90.00 90.00°
Fractional coordinates of all 32 atoms:
K (0.172, 0.002, 0.028)
K (0.172, 0.498, 0.028)
K (0.328, 0.502, 0.528)
K (0.328, 0.998, 0.528)
K (0.672, 0.002, 0.472)
K (0.672, 0.498, 0.472)
K (0.828, 0.502, 0.972)
K (0.828, 0.998, 0.972)
Ho (0.001, 0.250, 0.564)
Ho (0.499, 0.750, 0.064)
Ho (0.501, 0.250, 0.936)
Ho (0.999, 0.750, 0.436)
F (0.013, 0.250, 0.891)
F (0.078, 0.534, 0.643)
F (0.078, 0.966, 0.643)
F (0.161, 0.250, 0.368)
F (0.190, 0.750, 0.337)
F (0.310, 0.250, 0.837)
F (0.339, 0.750, 0.868)
F (0.422, 0.034, 0.143)
F (0.422, 0.466, 0.143)
F (0.487, 0.750, 0.391)
F (0.513, 0.250, 0.609)
F (0.578, 0.534, 0.857)
F (0.578, 0.966, 0.857)
F (0.661, 0.250, 0.132)
F (0.690, 0.750, 0.163)
F (0.810, 0.250, 0.663)
F (0.839, 0.750, 0.632)
F (0.922, 0.034, 0.357)
F (0.922, 0.466, 0.357)
F (0.987, 0.750, 0.109)

Largest 6 diffraction maxima, in order of rising 2θ, 15° ≤ 2θ ≤ 90°:
| 2θ (°) | I/Imax |
| --- | --- |
| 15.50 | 100 |
| 16.09 | 50 |
| 27.71 | 59 |
| 29.07 | 72 |
| 29.40 | 45 |
| 40.10 | 33 |

=====

[4]
Diffraction record for GdZnRh. The powder X-ray diffraction pattern is computed, not measured: it uses a cell relaxed with PBE and CuKα.

Atomic structure:
Cell: 7.031 4.094 8.199 Å, 90.00 90.00 90.00°
Fractional coordinates of all 12 atoms:
Gd (0.037, 0.250, 0.184)
Gd (0.463, 0.750, 0.684)
Gd (0.537, 0.250, 0.316)
Gd (0.963, 0.750, 0.816)
Zn (0.136, 0.250, 0.563)
Zn (0.364, 0.750, 0.063)
Zn (0.636, 0.250, 0.937)
Zn (0.864, 0.750, 0.437)
Rh (0.243, 0.750, 0.378)
Rh (0.257, 0.250, 0.878)
Rh (0.743, 0.750, 0.122)
Rh (0.757, 0.250, 0.622)

Largest 6 diffraction maxima, in order of rising 2θ, 15° ≤ 2θ ≤ 90°:
| 2θ (°) | I/Imax |
| --- | --- |
| 33.45 | 62 |
| 33.59 | 39 |
| 35.39 | 100 |
| 39.65 | 33 |
| 44.24 | 40 |
| 64.57 | 30 |

=====

[5]
Diffraction record for TeMoWSeS2. The powder X-ray diffraction pattern is computed, not measured: it uses a cell relaxed with PBE and CuKα.

Atomic structure:
Cell: 3.304 3.304 37.595 Å, 90.00 90.00 120.00°
Fractional coordinates of all 12 atoms:
Te (0.000, 0.000, 0.000)
Te (0.000, 0.000, 0.102)
Mo (0.000, 0.000, 0.487)
Mo (0.333, 0.667, 0.051)
W (0.000, 0.000, 0.863)
W (0.333, 0.667, 0.675)
Se (0.333, 0.667, 0.443)
Se (0.333, 0.667, 0.532)
S (0.000, 0.000, 0.634)
S (0.000, 0.000, 0.716)
S (0.333, 0.667, 0.822)
S (0.333, 0.667, 0.904)

Largest 6 diffraction maxima, in order of rising 2θ, 15° ≤ 2θ ≤ 90°:
| 2θ (°) | I/Imax |
| --- | --- |
| 31.29 | 61 |
| 33.51 | 17 |
| 36.77 | 100 |
| 44.54 | 52 |
| 46.37 | 19 |
| 55.64 | 32 |

=====

[6]
Diffraction record for Sc2TeSe2O10. The powder X-ray diffraction pattern is computed, not measured: it uses a cell relaxed with PBE and CuKα.

Atomic structure:
Cell: 6.633 11.221 12.865 Å, 90.00 101.77 90.00°
Fractional coordinates of all 60 atoms:
Sc (0.198, 0.159, 0.410)
Sc (0.198, 0.341, 0.910)
Sc (0.256, 0.702, 0.533)
Sc (0.256, 0.798, 0.033)
Sc (0.744, 0.202, 0.967)
Sc (0.744, 0.298, 0.467)
Sc (0.802, 0.659, 0.090)
Sc (0.802, 0.841, 0.590)
Te (0.321, 0.524, 0.165)
Te (0.321, 0.976, 0.665)
Te (0.679, 0.024, 0.335)
Te (0.679, 0.476, 0.835)
Se (0.131, 0.651, 0.781)
Se (0.131, 0.849, 0.281)
Se (0.292, 0.106, 0.045)
Se (0.292, 0.394, 0.545)
Se (0.708, 0.606, 0.455)
Se (0.708, 0.894, 0.955)
Se (0.869, 0.151, 0.719)
Se (0.869, 0.349, 0.219)
O (0.071, 0.517, 0.824)
O (0.071, 0.983, 0.324)
O (0.072, 0.191, 0.002)
O (0.072, 0.309, 0.502)
O (0.088, 0.222, 0.769)
O (0.088, 0.278, 0.269)
O (0.134, 0.643, 0.093)
O (0.134, 0.857, 0.593)
O (0.241, 0.525, 0.478)
O (0.241, 0.975, 0.978)
O (0.270, 0.730, 0.880)
O (0.270, 0.770, 0.380)
O (0.283, 0.629, 0.692)
O (0.283, 0.871, 0.192)
O (0.301, 0.080, 0.550)
O (0.301, 0.420, 0.050)
O (0.421, 0.185, 0.960)
O (0.421, 0.315, 0.460)
O (0.456, 0.121, 0.353)
O (0.456, 0.379, 0.853)
O (0.544, 0.621, 0.147)
O (0.544, 0.879, 0.647)
O (0.579, 0.685, 0.540)
O (0.579, 0.815, 0.040)
O (0.699, 0.580, 0.950)
O (0.699, 0.920, 0.450)
O (0.717, 0.129, 0.808)
O (0.717, 0.371, 0.308)
O (0.730, 0.230, 0.620)
O (0.730, 0.270, 0.120)
O (0.759, 0.025, 0.022)
O (0.759, 0.475, 0.522)
O (0.866, 0.143, 0.407)
O (0.866, 0.357, 0.907)
O (0.912, 0.722, 0.731)
O (0.912, 0.778, 0.231)
O (0.928, 0.691, 0.498)
O (0.928, 0.809, 0.998)
O (0.929, 0.017, 0.676)
O (0.929, 0.483, 0.176)

Largest 6 diffraction maxima, in order of rising 2θ, 15° ≤ 2θ ≤ 90°:
| 2θ (°) | I/Imax |
| --- | --- |
| 22.61 | 100 |
| 23.66 | 38 |
| 26.52 | 31 |
| 27.47 | 33 |
| 29.14 | 49 |
| 32.28 | 33 |

=====

[7]
Diffraction record for BaCaEuSbO6. The powder X-ray diffraction pattern is computed, not measured: it uses a cell relaxed with PBE and CuKα.

Atomic structure:
Cell: 6.021 6.021 6.021 Å, 60.00 60.00 60.00°
Fractional coordinates of all 10 atoms:
Ba (0.000, 0.000, 0.000)
Ca (0.500, 0.500, 0.500)
Eu (0.750, 0.750, 0.750)
Sb (0.250, 0.250, 0.250)
O (0.015, 0.015, 0.485)
O (0.015, 0.485, 0.015)
O (0.015, 0.485, 0.485)
O (0.485, 0.015, 0.015)
O (0.485, 0.015, 0.485)
O (0.485, 0.485, 0.015)

Largest 6 diffraction maxima, in order of rising 2θ, 15° ≤ 2θ ≤ 90°:
| 2θ (°) | I/Imax |
| --- | --- |
| 29.67 | 100 |
| 42.46 | 32 |
| 52.66 | 40 |
| 61.61 | 19 |
| 69.86 | 18 |
| 85.30 | 21 |

=====

[8]
Diffraction record for Nd5MgAl4. The powder X-ray diffraction pattern is computed, not measured: it uses a cell relaxed with PBE and CuKα.

Atomic structure:
Cell: 3.727 3.727 19.084 Å, 90.00 90.00 90.00°
Fractional coordinates of all 10 atoms:
Nd (0.000, 0.000, 0.000)
Nd (0.000, 0.000, 0.196)
Nd (0.000, 0.000, 0.391)
Nd (0.000, 0.000, 0.609)
Nd (0.000, 0.000, 0.804)
Mg (0.500, 0.500, 0.500)
Al (0.500, 0.500, 0.098)
Al (0.500, 0.500, 0.297)
Al (0.500, 0.500, 0.703)
Al (0.500, 0.500, 0.902)

Largest 6 diffraction maxima, in order of rising 2θ, 15° ≤ 2θ ≤ 90°:
| 2θ (°) | I/Imax |
| --- | --- |
| 23.31 | 29 |
| 23.87 | 58 |
| 33.61 | 100 |
| 34.02 | 50 |
| 41.65 | 26 |
| 60.62 | 36 |

=====

[9]
Diffraction record for LaMg6BO8. The powder X-ray diffraction pattern is computed, not measured: it uses a cell relaxed with PBE and CuKα.

Atomic structure:
Cell: 4.496 4.496 9.116 Å, 90.00 90.00 90.00°
Fractional coordinates of all 16 atoms:
La (0.000, 0.000, 0.000)
Mg (0.000, 0.500, 0.280)
Mg (0.000, 0.500, 0.720)
Mg (0.500, 0.000, 0.280)
Mg (0.500, 0.000, 0.720)
Mg (0.500, 0.500, 0.000)
Mg (0.500, 0.500, 0.500)
B (0.000, 0.000, 0.500)
O (0.000, 0.000, 0.258)
O (0.000, 0.000, 0.742)
O (0.000, 0.500, 0.000)
O (0.000, 0.500, 0.500)
O (0.500, 0.000, 0.000)
O (0.500, 0.000, 0.500)
O (0.500, 0.500, 0.253)
O (0.500, 0.500, 0.747)

Largest 6 diffraction maxima, in order of rising 2θ, 15° ≤ 2θ ≤ 90°:
| 2θ (°) | I/Imax |
| --- | --- |
| 22.05 | 83 |
| 29.77 | 52 |
| 34.40 | 42 |
| 39.54 | 45 |
| 40.12 | 100 |
| 57.60 | 53 |

=====

[10]
Diffraction record for Li2Sb. The powder X-ray diffraction pattern is computed, not measured: it uses a cell relaxed with PBE and CuKα.

Atomic structure:
Cell: 7.946 7.946 3.267 Å, 90.00 90.00 120.00°
Fractional coordinates of all 9 atoms:
Li (0.000, 0.292, 0.000)
Li (0.000, 0.630, 0.500)
Li (0.292, 0.000, 0.000)
Li (0.370, 0.370, 0.500)
Li (0.630, 0.000, 0.500)
Li (0.708, 0.708, 0.000)
Sb (0.000, 0.000, 0.500)
Sb (0.333, 0.667, 0.000)
Sb (0.667, 0.333, 0.000)

Largest 6 diffraction maxima, in order of rising 2θ, 15° ≤ 2θ ≤ 90°:
| 2θ (°) | I/Imax |
| --- | --- |
| 22.38 | 100 |
| 30.28 | 43 |
| 37.98 | 26 |
| 39.28 | 29 |
| 44.53 | 32 |
| 45.67 | 15 |

=====

[11]
Diffraction record for MnAs. The powder X-ray diffraction pattern is computed, not measured: it uses a cell relaxed with PBE and CuKα.

Atomic structure:
Cell: 5.688 5.688 5.688 Å, 90.00 90.00 90.00°
Fractional coordinates of all 8 atoms:
Mn (0.000, 0.000, 0.000)
Mn (0.000, 0.500, 0.500)
Mn (0.500, 0.000, 0.500)
Mn (0.500, 0.500, 0.000)
As (0.250, 0.250, 0.750)
As (0.250, 0.750, 0.250)
As (0.750, 0.250, 0.250)
As (0.750, 0.750, 0.750)

Largest 6 diffraction maxima, in order of rising 2θ, 15° ≤ 2θ ≤ 90°:
| 2θ (°) | I/Imax |
| --- | --- |
| 27.15 | 100 |
| 45.08 | 71 |
| 53.42 | 43 |
| 72.42 | 17 |
| 83.21 | 22 |
| 89.54 | 13 |